Simulated powder diffraction line list
Compound: Tl5Cd2
Radiation: Cu Kα
Structure: DFT lattice parameters and positions (PBE)
No peak broadening, texture or thermal motion is included.

Most intense lines, 2θ = 10–90°, by angle:
Position (°2θ)  d/Å  I/Imax  h k l
28.71  3.110  11  1 1 4
30.30  2.950  32  1 2 1
30.89  2.895  39  0 2 4
32.87  2.725  100  1 1 5
33.93  2.642  95  3 0 0
36.73  2.447  18  2 1 4
41.42  2.180  10  3 1 1
47.96  1.897  18  2 2 5
54.95  1.671  21  3 2 4
58.00  1.590  10  1 1 10
60.05  1.541  10  4 1 5
60.71  1.526  10  3 3 0

```
data_Tl5Cd2
_chemical_formula_sum 'Tl30 Cd12'
_symmetry_space_group_name_H-M 'P 3 c 1'
_symmetry_Int_Tables_number 158
_symmetry_space_group_name_Hall 'P 3 -2"c'
_cell_length_a 9.1520
_cell_length_b 9.1520
_cell_length_c 16.9577
_cell_angle_alpha 90.00
_cell_angle_beta 90.00
_cell_angle_gamma 120.00
loop_
_atom_site_label
_atom_site_type_symbol
_atom_site_fract_x
_atom_site_fract_y
_atom_site_fract_z
Tl1 Tl 0.0000 0.0000 0.0000
Tl2 Tl 0.0002 0.2627 0.3395
Tl3 Tl 0.9997 0.2946 0.1318
Tl4 Tl 0.9997 0.3902 0.7484
Tl5 Tl 0.0006 0.3730 0.5353
Tl6 Tl 0.3333 0.6667 0.3854
Tl7 Tl 0.6667 0.3333 0.3855
Cd1 Cd 0.0000 0.0000 0.2176
Cd2 Cd 0.9997 0.3316 0.9424
Cd3 Cd 0.3333 0.6667 0.1490
Cd4 Cd 0.6667 0.3333 0.1481
```